(1)
La7Ag6: computed PXRD pattern (copper Kα), based on a crystal structure in Alexandria, relaxed with PBE.
Kinematic intensities with the Lorentz-polarization factor, no thermal factor.

```
data_La7Ag6
_cell_length_a 6.8939
_cell_length_b 6.8939
_cell_length_c 28.1175
_cell_angle_alpha 90.00
_cell_angle_beta 90.00
_cell_angle_gamma 120.00
_symmetry_space_group_name_H-M 'R -3 m'
_symmetry_Int_Tables_number 166
_symmetry_space_group_name_Hall '-R 3 2"'
loop_
_atom_site_label
_atom_site_type_symbol
_atom_site_fract_x
_atom_site_fract_y
_atom_site_fract_z
_atom_site_occupancy
La1 La 0.0000 0.0000 0.0000 1
La2 La 0.0158 0.5079 0.4126 1
Ag1 Ag 0.0000 0.0000 0.1647 1
Ag2 Ag 0.0000 0.0000 0.3536 1
Ag3 Ag 0.0000 0.0000 0.4517 1
```

Most intense lines, 2θ = 15–90°, most intense first:
Position (°2θ)  I (rel.)  h k l
32.2  100  1 1 6
34.0  81  2 0 5
30.1  70  0 2 1
53.1  57  2 2 0
25.8  50  1 1 0
38.3  44  0 1 11
37.5  38  0 2 7
67.4  34  2 2 12
54.2  34  1 2 11
35.3  33  1 0 10

=====

(2)
La3Ag11: computed PXRD pattern (copper Kα), based on a crystal structure in Alexandria, relaxed with PBE.
Kinematic intensities with the Lorentz-polarization factor, no thermal factor.

```
data_La3Ag11
_cell_length_a 4.7358
_cell_length_b 9.7203
_cell_length_c 13.8186
_cell_angle_alpha 90.00
_cell_angle_beta 90.00
_cell_angle_gamma 90.00
_symmetry_space_group_name_H-M 'I m m m'
_symmetry_Int_Tables_number 71
_symmetry_space_group_name_Hall '-I 2 2'
loop_
_atom_site_label
_atom_site_type_symbol
_atom_site_fract_x
_atom_site_fract_y
_atom_site_fract_z
_atom_site_occupancy
La1 La 0.0000 0.0000 0.0000 1
La2 La 0.0000 0.0000 0.3027 1
Ag1 Ag 0.0000 0.1971 0.5000 1
Ag2 Ag 0.0000 0.2797 0.1263 1
Ag3 Ag 0.0000 0.3581 0.3277 1
Ag4 Ag 0.0000 0.5000 0.0000 1
```

Most intense lines, 2θ = 15–90°, most intense first:
Position (°2θ)  I (rel.)  h k l
32.8  100  1 2 3
38.0  60  2 0 0
36.0  38  1 3 2
33.5  35  1 3 0
37.7  32  1 0 5
33.8  28  0 3 3
31.8  26  0 2 4
39.1  22  0 0 6
42.3  18  1 4 1
27.0  17  1 0 3

=====

(3)
La2Ag3: computed PXRD pattern (copper Kα), based on a crystal structure in Alexandria, relaxed with PBE.
Kinematic intensities with the Lorentz-polarization factor, no thermal factor.

```
data_La2Ag3
_cell_length_a 4.9580
_cell_length_b 4.9580
_cell_length_c 18.7473
_cell_angle_alpha 90.00
_cell_angle_beta 90.00
_cell_angle_gamma 120.00
_symmetry_space_group_name_H-M 'R -3 m'
_symmetry_Int_Tables_number 166
_symmetry_space_group_name_Hall '-R 3 2"'
loop_
_atom_site_label
_atom_site_type_symbol
_atom_site_fract_x
_atom_site_fract_y
_atom_site_fract_z
_atom_site_occupancy
La1 La 0.0000 0.0000 0.0874 1
Ag1 Ag 0.0000 0.0000 0.3340 1
Ag2 Ag 0.0000 0.0000 0.5000 1
```

Most intense lines, 2θ = 15–90°, most intense first:
Position (°2θ)  I (rel.)  h k l
36.2  100  1 1 0
31.7  86  0 1 5
39.7  40  1 0 7
48.9  25  2 0 5
71.4  25  1 1 12
62.3  24  1 2 5
65.2  17  3 0 0
67.5  16  2 1 7
54.8  15  0 2 7
22.8  14  0 1 2

=====

(4)
LiLa2Ag: computed PXRD pattern (copper Kα), based on a crystal structure in Alexandria, relaxed with PBE.
Kinematic intensities with the Lorentz-polarization factor, no thermal factor.

```
data_LiLa2Ag
_cell_length_a 3.7461
_cell_length_b 4.8638
_cell_length_c 6.4687
_cell_angle_alpha 90.00
_cell_angle_beta 106.80
_cell_angle_gamma 90.00
_symmetry_space_group_name_H-M 'P 1 m 1'
_symmetry_Int_Tables_number 6
loop_
_symmetry_equiv_pos_as_xyz
'x,y,z'
'x,-y,z'
loop_
_atom_site_label
_atom_site_type_symbol
_atom_site_fract_x
_atom_site_fract_y
_atom_site_fract_z
_atom_site_occupancy
Li1 Li 0.0000 0.0000 0.0000 1
La1 La 0.4017 0.5000 0.8020 1
La2 La 0.7199 0.0000 0.4365 1
Ag1 Ag 0.1229 0.5000 0.2424 1
```

Most intense lines, 2θ = 15–90°, most intense first:
Position (°2θ)  I (rel.)  h k l
31.0  100  1 1 0
32.3  58  1 0 -2
34.3  46  0 1 2
23.3  41  0 1 1
49.9  34  1 2 -2
37.0  28  0 2 0
60.9  17  2 1 1
37.3  17  1 1 -2
28.8  15  0 0 2
47.8  15  0 1 3

=====

(5)
Li2La2Ag3: computed PXRD pattern (copper Kα), based on a crystal structure in Alexandria, relaxed with PBE.
Kinematic intensities with the Lorentz-polarization factor, no thermal factor.

```
data_Li2La2Ag3
_cell_length_a 4.1499
_cell_length_b 20.0100
_cell_length_c 8.1249
_cell_angle_alpha 90.00
_cell_angle_beta 90.00
_cell_angle_gamma 90.00
_symmetry_space_group_name_H-M 'C m c m'
_symmetry_Int_Tables_number 63
_symmetry_space_group_name_Hall '-C 2c 2'
loop_
_atom_site_label
_atom_site_type_symbol
_atom_site_fract_x
_atom_site_fract_y
_atom_site_fract_z
_atom_site_occupancy
Li1 Li 0.0000 0.1922 0.0573 1
La1 La 0.0000 0.3425 0.2500 1
La2 La 0.0000 0.4456 0.7500 1
Ag1 Ag 0.0000 0.0629 0.5706 1
Ag2 Ag 0.0000 0.2797 0.7500 1
```

Most intense lines, 2θ = 15–90°, most intense first:
Position (°2θ)  I (rel.)  h k l
33.0  100  1 5 1
31.1  94  1 1 2
37.8  28  0 4 3
43.6  24  2 0 0
43.0  22  0 6 3
25.3  22  1 3 0
21.9  22  0 0 2
65.8  20  1 13 1
66.0  18  1 5 5
28.9  16  0 6 1

=====

(6)
Li10LaAg3: computed PXRD pattern (copper Kα), based on a crystal structure in Alexandria, relaxed with PBE.
Kinematic intensities with the Lorentz-polarization factor, no thermal factor.

```
data_Li10LaAg3
_cell_length_a 13.4244
_cell_length_b 13.4244
_cell_length_c 13.4244
_cell_angle_alpha 90.00
_cell_angle_beta 90.00
_cell_angle_gamma 90.00
_symmetry_space_group_name_H-M 'F m -3 m'
_symmetry_Int_Tables_number 225
_symmetry_space_group_name_Hall '-F 4 2 3'
loop_
_atom_site_label
_atom_site_type_symbol
_atom_site_fract_x
_atom_site_fract_y
_atom_site_fract_z
_atom_site_occupancy
Li1 Li 0.0000 0.1729 0.1729 1
Li2 Li 0.1087 0.1087 0.3913 1
La1 La 0.2500 0.2500 0.2500 1
Ag1 Ag 0.0000 0.0000 0.2655 1
```

Most intense lines, 2θ = 15–90°, most intense first:
Position (°2θ)  I (rel.)  h k l
22.9  100  2 2 2
26.6  50  4 0 0
44.8  50  6 2 2
37.9  42  4 4 0
60.1  18  6 6 2
61.8  15  8 4 0
46.9  13  4 4 4
68.5  13  8 4 4
85.6  12  10 6 2
73.3  12  10 2 2

=====

(7)
LiLa2Ag: computed PXRD pattern (copper Kα), based on a crystal structure in Alexandria, relaxed with PBE.
Kinematic intensities with the Lorentz-polarization factor, no thermal factor.

```
data_LiLa2Ag
_cell_length_a 7.4769
_cell_length_b 4.2424
_cell_length_c 7.5205
_cell_angle_alpha 90.00
_cell_angle_beta 109.15
_cell_angle_gamma 90.00
_symmetry_space_group_name_H-M 'P 1 21/m 1'
_symmetry_Int_Tables_number 11
loop_
_symmetry_equiv_pos_as_xyz
'x,y,z'
'-x,-y,-z'
'-x,y+1/2,-z'
'x,-y+1/2,z'
loop_
_atom_site_label
_atom_site_type_symbol
_atom_site_fract_x
_atom_site_fract_y
_atom_site_fract_z
_atom_site_occupancy
Li1 Li 0.0792 0.2500 0.1748 1
La1 La 0.2902 0.7500 0.5528 1
La2 La 0.3685 0.7500 0.0955 1
Ag1 Ag 0.1244 0.2500 0.7926 1
```

Most intense lines, 2θ = 15–90°, most intense first:
Position (°2θ)  I (rel.)  h k l
33.0  100  2 1 0
32.1  96  1 1 -2
24.5  88  1 1 0
31.7  78  1 0 2
29.2  70  2 0 -2
32.9  69  0 1 2
54.1  39  1 2 2
42.6  37  0 2 0
52.5  27  2 2 -2
58.0  24  3 1 -4

=====

(8)
LiLa4Ag: computed PXRD pattern (copper Kα), based on a crystal structure in Alexandria, relaxed with PBE.
Kinematic intensities with the Lorentz-polarization factor, no thermal factor.

```
data_LiLa4Ag
_cell_length_a 9.2860
_cell_length_b 9.2860
_cell_length_c 9.2860
_cell_angle_alpha 90.00
_cell_angle_beta 90.00
_cell_angle_gamma 90.00
_symmetry_space_group_name_H-M 'F -4 3 m'
_symmetry_Int_Tables_number 216
_symmetry_space_group_name_Hall 'F -4 2 3'
loop_
_atom_site_label
_atom_site_type_symbol
_atom_site_fract_x
_atom_site_fract_y
_atom_site_fract_z
_atom_site_occupancy
Li1 Li 0.0000 0.0000 0.0000 1
La1 La 0.1233 0.1233 0.3767 1
Ag1 Ag 0.2500 0.2500 0.7500 1
```

Most intense lines, 2θ = 15–90°, most intense first:
Position (°2θ)  I (rel.)  h k l
32.0  100  3 1 1
33.4  69  2 2 2
16.5  54  1 1 1
51.1  35  3 3 3
56.0  33  4 4 0
66.8  27  6 2 2
79.2  22  7 3 1
38.8  20  4 0 0
42.4  14  3 3 1
66.0  12  5 3 3